No. 1
Starting from a cell relaxed with PBE, the powder diffraction line list of GdYCu2Sn2 was computed for CuKα.
Intensities are scaled so that the largest is 100.

Structure:
```
data_GdYCu2Sn2
_cell_length_a 4.5453
_cell_length_b 4.5453
_cell_length_c 7.2500
_cell_angle_alpha 90.00
_cell_angle_beta 90.00
_cell_angle_gamma 120.00
_space_group_name_H-M_alt 'P 3 m 1'
_space_group_IT_number 156
loop_
_space_group_symop_operation_xyz
'x,y,z'
'-y,x-y,z'
'-x+y,-x,z'
'-y,-x,z'
'-x+y,y,z'
'x,x-y,z'
loop_
_atom_site_label
_atom_site_fract_x
_atom_site_fract_y
_atom_site_fract_z
Gd1 0.0000 0.0000 0.0000
Y1 0.0000 0.0000 0.4997
Cu1 0.3333 0.6667 0.3139
Cu2 0.6667 0.3333 0.8113
Sn1 0.3333 0.6667 0.7290
Sn2 0.6667 0.3333 0.2314
```

The 12 most intense peaks (2θ = 5–70°), most intense first:
h k l	d (Å)	2θ/deg	Rel. int.
0 1 2	2.667	33.61	100
1 1 0	2.273	39.66	73
2 0 2	1.730	52.94	27
1 2 2	1.376	68.13	25
1 0 1	3.459	25.75	22
1 1 4	1.417	65.92	18
0 1 3	2.060	43.96	17
1 0 5	1.361	69.03	8
2 0 3	1.526	60.68	7
0 0 4	1.812	50.34	7
0 2 1	1.899	47.89	4
2 1 1	1.457	63.87	4

No. 2
Starting from a cell relaxed with PBE, the powder diffraction line list of Gd2Cu2Te was computed for CuKα.
Intensities are scaled so that the largest is 100.

Structure:
```
data_Gd2Cu2Te
_cell_length_a 4.1595
_cell_length_b 4.1595
_cell_length_c 7.9020
_cell_angle_alpha 90.00
_cell_angle_beta 90.00
_cell_angle_gamma 120.00
_space_group_name_H-M_alt 'P -6 m 2'
_space_group_IT_number 187
_space_group_name_Hall 'P -6 2'
loop_
_atom_site_label
_atom_site_fract_x
_atom_site_fract_y
_atom_site_fract_z
Gd1 0.0000 0.0000 0.2346
Cu1 0.3333 0.6667 0.0000
Cu2 0.6667 0.3333 0.0000
Te1 0.3333 0.6667 0.5000
```

The 12 most intense peaks (2θ = 5–70°), most intense first:
h k l	d (Å)	2θ/deg	Rel. int.
1 0 2	2.662	33.67	100
1 1 0	2.080	43.52	40
1 0 0	3.602	24.72	24
2 0 2	1.639	56.12	23
1 1 4	1.432	65.13	22
1 0 1	3.278	27.21	10
0 0 4	1.975	45.94	10
1 0 3	2.126	42.52	5
1 0 4	1.732	52.86	5
2 0 0	1.801	50.68	3
2 1 0	1.362	68.98	3
1 0 5	1.447	64.37	2

No. 3
Starting from a cell relaxed with PBE, the powder diffraction line list of GdTlCuTe3 was computed for CuKα.
Intensities are scaled so that the largest is 100.

Structure:
```
data_GdTlCuTe3
_cell_length_a 11.4893
_cell_length_b 4.2062
_cell_length_c 15.4624
_cell_angle_alpha 90.00
_cell_angle_beta 90.00
_cell_angle_gamma 90.00
_space_group_name_H-M_alt 'P n m a'
_space_group_IT_number 62
loop_
_space_group_symop_operation_xyz
'x,y,z'
'-x,-y,-z'
'-x+1/2,-y,z+1/2'
'x+1/2,y,-z+1/2'
'x+1/2,-y+1/2,-z+1/2'
'-x+1/2,y+1/2,z+1/2'
'-x,y+1/2,-z'
'x,-y+1/2,z'
loop_
_atom_site_label
_atom_site_fract_x
_atom_site_fract_y
_atom_site_fract_z
Gd1 0.0182 0.2500 0.2430
Tl1 0.2207 0.7500 0.5011
Cu1 0.2382 0.2500 0.7176
Te1 0.0492 0.2500 0.6194
Te2 0.0869 0.7500 0.1077
Te3 0.2359 0.7500 0.8227
```

The 12 most intense peaks (2θ = 5–70°), most intense first:
h k l	d (Å)	2θ/deg	Rel. int.
1 1 3	3.135	28.47	100
2 1 3	2.834	31.56	46
0 1 3	3.259	27.37	35
3 0 2	3.432	25.96	32
0 2 0	2.103	43.01	32
3 1 1	2.785	32.13	32
2 0 6	2.351	38.28	31
2 1 5	2.286	39.42	27
2 0 2	4.611	19.25	24
4 0 0	2.872	31.14	23
2 2 6	1.568	58.92	19
5 1 3	1.878	48.47	18